Calculated powder XRD pattern of BaZn13 for Cu Ka, from a PBE-relaxed structure.
No peak broadening, texture or thermal motion is included.

Main lines, in order of falling intensity (2θ from 10° to 80°):
43.45 deg, I 100
35.70 deg, I 82
32.50 deg, I 41
44.10 deg, I 26
46.62 deg, I 18
69.50 deg, I 16
75.62 deg, I 13
62.12 deg, I 13

Structure:
```
data_BaZn13
_symmetry_space_group_name_H-M 'P 1'
_symmetry_Int_Tables_number 1
_cell_length_a 8.713
_cell_length_b 8.713
_cell_length_c 8.713
_cell_angle_alpha 60.00
_cell_angle_beta 60.00
_cell_angle_gamma 60.00
loop_
_symmetry_equiv_pos_as_xyz
'x,y,z'
loop_
_atom_site_label
_atom_site_type_symbol
_atom_site_fract_x
_atom_site_fract_y
_atom_site_fract_z
Ba1 Ba 0.250 0.250 0.250
Ba2 Ba 0.750 0.750 0.750
Zn1 Zn 0.000 0.000 0.000
Zn2 Zn 0.059 0.299 0.701
Zn3 Zn 0.059 0.701 0.941
Zn4 Zn 0.059 0.941 0.299
Zn5 Zn 0.201 0.441 0.799
Zn6 Zn 0.201 0.559 0.441
Zn7 Zn 0.201 0.799 0.559
Zn8 Zn 0.299 0.059 0.941
Zn9 Zn 0.299 0.701 0.059
Zn10 Zn 0.299 0.941 0.701
Zn11 Zn 0.441 0.201 0.559
Zn12 Zn 0.441 0.559 0.799
Zn13 Zn 0.441 0.799 0.201
Zn14 Zn 0.500 0.500 0.500
Zn15 Zn 0.559 0.201 0.799
Zn16 Zn 0.559 0.441 0.201
Zn17 Zn 0.559 0.799 0.441
Zn18 Zn 0.701 0.059 0.299
Zn19 Zn 0.701 0.299 0.941
Zn20 Zn 0.701 0.941 0.059
Zn21 Zn 0.799 0.201 0.441
Zn22 Zn 0.799 0.441 0.559
Zn23 Zn 0.799 0.559 0.201
Zn24 Zn 0.941 0.059 0.701
Zn25 Zn 0.941 0.299 0.059
Zn26 Zn 0.941 0.701 0.299
```